No. 1
The following is a theoretical X-ray powder pattern of NaGeAu3. It was derived from a crystal structure in the Materials Project, relaxed with GGA-PBE, using λ = 1.5418 Å (Cu Kα).

Top 10 peaks for 10 to 80 degrees two-theta, in order of rising 2θ:
| d_spacing | intensity | index |
| --- | --- | --- |
| 4.602 | 28 | 2 0 0 |
| 3.758 | 59 | 2 1 1 |
| 2.553 | 100 | 3 0 2 |
| 2.460 | 88 | 3 2 1 |
| 2.233 | 91 | 4 1 0 |
| 2.058 | 31 | 4 0 2 |
| 2.009 | 65 | 4 2 1 |
| 1.493 | 42 | 5 3 2 |
| 1.438 | 23 | 6 2 1 |
| 1.253 | 27 | 5 5 2 |

Atomic structure:
```
NaGeAu3
1.0
9.205 0.000 0.000
0.000 9.205 0.000
0.000 0.000 9.205
Na Ge Au
8 8 24
Cartesian
0.911 0.911 0.911 Na
0.911 3.691 5.514 Na
3.691 5.514 0.911 Na
3.691 8.294 5.514 Na
5.514 0.911 3.691 Na
5.514 3.691 8.294 Na
8.294 5.514 3.691 Na
8.294 8.294 8.294 Na
1.035 5.638 8.169 Ge
1.035 8.169 3.567 Ge
3.567 1.035 8.169 Ge
3.567 3.567 3.567 Ge
5.638 5.638 5.638 Ge
5.638 8.169 1.035 Ge
8.169 1.035 5.638 Ge
8.169 3.567 1.035 Ge
0.836 6.733 1.278 Au
0.836 7.074 5.881 Au
1.278 0.836 6.733 Au
1.278 3.766 2.131 Au
2.131 1.278 3.766 Au
2.131 3.324 8.368 Au
2.472 5.881 3.766 Au
2.472 7.927 8.368 Au
3.324 5.439 6.733 Au
3.324 8.368 2.131 Au
3.766 2.131 1.278 Au
3.766 2.472 5.881 Au
5.439 6.733 3.324 Au
5.439 7.074 7.927 Au
5.881 0.836 7.074 Au
5.881 3.766 2.472 Au
6.733 1.278 0.836 Au
6.733 3.324 5.439 Au
7.074 5.881 0.836 Au
7.074 7.927 5.439 Au
7.927 5.439 7.074 Au
7.927 8.368 2.472 Au
8.368 2.131 3.324 Au
8.368 2.472 7.927 Au
```

---

No. 2
The following is a theoretical X-ray powder pattern of NbSe2. It was derived from a crystal structure in the Materials Project, relaxed with GGA-PBE, using λ = 1.5418 Å (Cu Kα).

Top 10 peaks for 10 to 80 degrees two-theta, in order of rising 2θ:
| d_spacing | intensity | index |
| --- | --- | --- |
| 6.878 | 92 | 0 0 2 |
| 2.952 | 68 | 1 0 1 |
| 2.767 | 50 | 1 0 2 |
| 2.523 | 38 | 1 0 3 |
| 2.270 | 100 | 1 0 4 |
| 2.034 | 26 | 1 0 5 |
| 1.827 | 18 | 1 0 6 |
| 1.745 | 46 | 1 1 0 |
| 1.383 | 20 | 2 0 4 |
| 1.225 | 28 | 1 1 8 |

Atomic structure:
```
NbSe2
1.0
3.489 0.000 0.000
-1.745 3.022 0.000
0.000 0.000 13.757
Nb Se
2 4
Cartesian
0.000 0.000 3.439 Nb
0.000 0.000 10.318 Nb
0.000 2.015 1.755 Se
0.000 2.015 5.123 Se
1.745 1.007 8.634 Se
1.745 1.007 12.002 Se
```

---

No. 3
The following is a theoretical X-ray powder pattern of Te2MoWS2. It was derived from a crystal structure in the Materials Project, relaxed with GGA-PBE, using λ = 1.5418 Å (Cu Kα).

Top 10 peaks for 10 to 80 degrees two-theta, in order of rising 2θ:
| d_spacing | intensity | index |
| --- | --- | --- |
| 7.959 | 100 | 0 0 3 |
| 5.969 | 17 | 0 0 4 |
| 4.776 | 20 | 0 0 5 |
| 2.908 | 40 | 1 0 0 |
| 2.887 | 24 | 0 1 1 |
| 2.615 | 20 | 0 1 4 |
| 2.484 | 76 | 1 0 5 |
| 2.348 | 29 | 1 0 6 |
| 2.083 | 41 | 0 1 8 |
| 1.679 | 19 | 1 1 0 |

Atomic structure:
```
Te2MoWS2
1.0
3.358 0.000 0.000
-1.679 2.908 0.000
0.000 0.000 23.878
Te Mo W S
2 1 1 2
Cartesian
0.000 0.000 0.000 Te
0.000 0.000 3.773 Te
0.000 1.939 1.887 Mo
0.000 0.000 18.578 W
0.000 1.939 17.059 S
0.000 1.939 20.098 S
```